This entry pairs a crystal structure of TaReAs2 with its theoretical powder X-ray diffraction pattern. Radiation: Cu Kα (λ = 1.5418 Å). Structure: a structure optimized by DFT (GGA-PBE).
Kinematic intensities with the Lorentz-polarization factor, no thermal factor.

Cell and atoms:
```
data_TaReAs2
_chemical_formula_sum 'Ta1 Re1 As2'
_space_group_name_H-M_alt 'P 4 m m'
_space_group_IT_number 99
_space_group_name_Hall 'P 4 -2'
_cell_length_a 3.0792
_cell_length_b 3.0792
_cell_length_c 7.8409
_cell_angle_alpha 90.00
_cell_angle_beta 90.00
_cell_angle_gamma 90.00
loop_
_atom_site_label
_atom_site_type_symbol
_atom_site_fract_x
_atom_site_fract_y
_atom_site_fract_z
Ta1 Ta 0.0000 0.0000 0.0000
Re1 Re 0.5000 0.5000 0.7792
As1 As 0.0000 0.0000 0.5971
As2 As 0.5000 0.5000 0.2322
```

Main lines, sorted by position (10° ≤ 2θ ≤ 90°):
- 2θ 11.3, d = 7.841 Å, I = 88, hkl 0 0 1
- 2θ 37.1, d = 2.422 Å, I = 100, hkl 1 0 2
- 2θ 41.5, d = 2.177 Å, I = 45, hkl 1 1 0
- 2θ 43.1, d = 2.098 Å, I = 14, hkl 1 1 1
- 2θ 45.5, d = 1.993 Å, I = 33, hkl 1 0 3
- 2θ 60.1, d = 1.540 Å, I = 15, hkl 2 0 0
- 2θ 72.8, d = 1.299 Å, I = 28, hkl 2 1 2
- 2θ 78.5, d = 1.218 Å, I = 13, hkl 2 1 3

---

This entry pairs a crystal structure of Re2TcAs with its theoretical powder X-ray diffraction pattern. Radiation: Cu Kα (λ = 1.5418 Å). Structure: a structure optimized by DFT (GGA-PBE).
Kinematic intensities with the Lorentz-polarization factor, no thermal factor.

Cell and atoms:
```
data_Re2TcAs
_chemical_formula_sum 'Re6 Tc3 As3'
_space_group_name_H-M_alt 'R 3 m'
_space_group_IT_number 160
_space_group_name_Hall 'R 3 -2"'
_cell_length_a 2.8395
_cell_length_b 2.8395
_cell_length_c 25.6837
_cell_angle_alpha 90.00
_cell_angle_beta 90.00
_cell_angle_gamma 120.00
loop_
_atom_site_label
_atom_site_type_symbol
_atom_site_fract_x
_atom_site_fract_y
_atom_site_fract_z
Re1 Re 0.0000 0.0000 0.0000
Re2 Re 0.0000 0.0000 0.2489
Tc1 Tc 0.0000 0.0000 0.4972
As1 As 0.0000 0.0000 0.7500
```

Main lines, sorted by position (10° ≤ 2θ ≤ 90°):
- 2θ 10.3, d = 8.561 Å, I = 40, hkl 0 0 3
- 2θ 39.2, d = 2.296 Å, I = 100, hkl 1 0 4
- 2θ 42.2, d = 2.140 Å, I = 27, hkl 0 0 12
- 2θ 46.5, d = 1.952 Å, I = 62, hkl 0 1 8
- 2θ 65.8, d = 1.420 Å, I = 22, hkl 1 1 0
- 2θ 70.0, d = 1.344 Å, I = 18, hkl 1 0 16
- 2θ 79.3, d = 1.208 Å, I = 13, hkl 0 2 4
- 2θ 81.3, d = 1.183 Å, I = 24, hkl 1 1 12

---

This entry pairs a crystal structure of ReTcAs4 with its theoretical powder X-ray diffraction pattern. Radiation: Cu Kα (λ = 1.5418 Å). Structure: a structure optimized by DFT (GGA-PBE).
Kinematic intensities with the Lorentz-polarization factor, no thermal factor.

Cell and atoms:
```
data_ReTcAs4
_chemical_formula_sum 'Re4 Tc4 As16'
_space_group_name_H-M_alt 'I 41 m d'
_space_group_IT_number 109
_space_group_name_Hall 'I 4bw -2'
_cell_length_a 8.7396
_cell_length_b 8.7396
_cell_length_c 6.3324
_cell_angle_alpha 90.00
_cell_angle_beta 90.00
_cell_angle_gamma 90.00
loop_
_atom_site_label
_atom_site_type_symbol
_atom_site_fract_x
_atom_site_fract_y
_atom_site_fract_z
Re1 Re 0.0000 0.0000 0.0000
Tc1 Tc 0.0000 0.0000 0.4948
As1 As 0.0000 0.2812 0.4973
As2 As 0.0000 0.2826 0.9973
```

Main lines, sorted by position (10° ≤ 2θ ≤ 90°):
- 2θ 20.3, d = 4.370 Å, I = 100, hkl 2 0 0
- 2θ 31.8, d = 2.818 Å, I = 37, hkl 1 1 2
- 2θ 35.0, d = 2.564 Å, I = 51, hkl 2 0 2
- 2θ 41.3, d = 2.185 Å, I = 54, hkl 4 0 0
- 2θ 43.5, d = 2.082 Å, I = 73, hkl 3 1 2
- 2θ 53.0, d = 1.727 Å, I = 37, hkl 3 3 2
- 2θ 55.2, d = 1.663 Å, I = 19, hkl 4 2 2
- 2θ 73.9, d = 1.282 Å, I = 19, hkl 4 0 4

---

This entry pairs a crystal structure of ReTeAs2W with its theoretical powder X-ray diffraction pattern. Radiation: Cu Kα (λ = 1.5418 Å). Structure: a structure optimized by DFT (GGA-PBE).
Kinematic intensities with the Lorentz-polarization factor, no thermal factor.

Cell and atoms:
```
data_ReTeAs2W
_chemical_formula_sum 'Re1 Te1 As2 W1'
_space_group_name_H-M_alt 'P 4/m m m'
_space_group_IT_number 123
_space_group_name_Hall '-P 4 2'
_cell_length_a 4.6568
_cell_length_b 4.6568
_cell_length_c 5.7298
_cell_angle_alpha 90.00
_cell_angle_beta 90.00
_cell_angle_gamma 90.00
loop_
_atom_site_label
_atom_site_type_symbol
_atom_site_fract_x
_atom_site_fract_y
_atom_site_fract_z
Re1 Re 0.0000 0.0000 0.0000
Te1 Te 0.0000 0.0000 0.5000
As1 As 0.0000 0.5000 0.0000
W1 W 0.5000 0.5000 0.5000
```

Main lines, sorted by position (10° ≤ 2θ ≤ 90°):
- 2θ 24.6, d = 3.614 Å, I = 89, hkl 1 0 1
- 2θ 27.1, d = 3.293 Å, I = 68, hkl 1 1 0
- 2θ 31.2, d = 2.865 Å, I = 89, hkl 0 0 2
- 2θ 31.3, d = 2.855 Å, I = 65, hkl 1 1 1
- 2θ 38.7, d = 2.328 Å, I = 100, hkl 2 0 0
- 2θ 41.8, d = 2.161 Å, I = 44, hkl 1 1 2
- 2θ 50.5, d = 1.807 Å, I = 93, hkl 2 0 2
- 2θ 65.4, d = 1.427 Å, I = 58, hkl 2 2 2

---

This entry pairs a crystal structure of VZnReAs2 with its theoretical powder X-ray diffraction pattern. Radiation: Cu Kα (λ = 1.5418 Å). Structure: a structure optimized by DFT (GGA-PBE).
Kinematic intensities with the Lorentz-polarization factor, no thermal factor.

Cell and atoms:
```
data_VZnReAs2
_chemical_formula_sum 'V1 Zn1 Re1 As2'
_space_group_name_H-M_alt 'P 4/m m m'
_space_group_IT_number 123
_space_group_name_Hall '-P 4 2'
_cell_length_a 4.6543
_cell_length_b 4.6543
_cell_length_c 4.7645
_cell_angle_alpha 90.00
_cell_angle_beta 90.00
_cell_angle_gamma 90.00
loop_
_atom_site_label
_atom_site_type_symbol
_atom_site_fract_x
_atom_site_fract_y
_atom_site_fract_z
V1 V 0.0000 0.0000 0.0000
Zn1 Zn 0.0000 0.0000 0.5000
Re1 Re 0.5000 0.5000 0.5000
As1 As 0.0000 0.5000 0.0000
```

Main lines, sorted by position (10° ≤ 2θ ≤ 90°):
- 2θ 26.8, d = 3.329 Å, I = 35, hkl 1 0 1
- 2θ 33.1, d = 2.708 Å, I = 100, hkl 1 1 1
- 2θ 37.8, d = 2.382 Å, I = 29, hkl 0 0 2
- 2θ 38.7, d = 2.327 Å, I = 53, hkl 2 0 0
- 2θ 55.2, d = 1.665 Å, I = 37, hkl 2 0 2
- 2θ 55.9, d = 1.646 Å, I = 18, hkl 2 2 0
- 2θ 66.5, d = 1.406 Å, I = 27, hkl 3 1 1
- 2θ 69.4, d = 1.354 Å, I = 18, hkl 2 2 2

---

This entry pairs a crystal structure of Zr2ReAs with its theoretical powder X-ray diffraction pattern. Radiation: Cu Kα (λ = 1.5418 Å). Structure: a structure optimized by DFT (GGA-PBE).
Kinematic intensities with the Lorentz-polarization factor, no thermal factor.

Cell and atoms:
```
data_Zr2ReAs
_chemical_formula_sum 'Zr2 Re1 As1'
_space_group_name_H-M_alt 'P 1 m 1'
_space_group_IT_number 6
_space_group_name_Hall 'P -2y'
_cell_length_a 3.4834
_cell_length_b 4.3030
_cell_length_c 5.3762
_cell_angle_alpha 90.00
_cell_angle_beta 108.88
_cell_angle_gamma 90.00
loop_
_atom_site_label
_atom_site_type_symbol
_atom_site_fract_x
_atom_site_fract_y
_atom_site_fract_z
Zr1 Zr 0.0000 0.0000 0.0000
Zr2 Zr 0.2850 0.5000 0.5732
Re1 Re 0.7332 0.0000 0.4706
As1 As 0.5640 0.5000 0.1281
```

Main lines, sorted by position (10° ≤ 2θ ≤ 90°):
- 2θ 17.4, d = 5.087 Å, I = 23, hkl 0 0 1
- 2θ 27.1, d = 3.294 Å, I = 19, hkl 1 0 -1
- 2θ 34.3, d = 2.616 Å, I = 100, hkl 1 1 -1
- 2θ 35.3, d = 2.544 Å, I = 29, hkl 0 0 2
- 2θ 41.2, d = 2.190 Å, I = 31, hkl 0 1 2
- 2θ 42.0, d = 2.152 Å, I = 32, hkl 0 2 0
- 2θ 42.7, d = 2.116 Å, I = 71, hkl 1 1 1
- 2θ 52.5, d = 1.742 Å, I = 17, hkl 2 0 -1

---

This entry pairs a crystal structure of As5Rh3 with its theoretical powder X-ray diffraction pattern. Radiation: Cu Kα (λ = 1.5418 Å). Structure: a structure optimized by DFT (GGA-PBE).
Kinematic intensities with the Lorentz-polarization factor, no thermal factor.

Cell and atoms:
```
data_As5Rh3
_chemical_formula_sum 'As40 Rh24'
_space_group_name_H-M_alt 'F m m 2'
_space_group_IT_number 42
_space_group_name_Hall 'F 2 -2'
_cell_length_a 6.9723
_cell_length_b 13.1165
_cell_length_c 13.1168
_cell_angle_alpha 90.00
_cell_angle_beta 90.00
_cell_angle_gamma 90.00
loop_
_atom_site_label
_atom_site_type_symbol
_atom_site_fract_x
_atom_site_fract_y
_atom_site_fract_z
As1 As 0.0000 0.1128 0.0000
As2 As 0.0000 0.1128 0.3962
As3 As 0.0000 0.1978 0.5853
As4 As 0.0000 0.1984 0.8109
As5 As 0.2494 0.0000 0.1990
Rh1 Rh 0.0000 0.0000 0.5652
Rh2 Rh 0.0000 0.0000 0.8336
Rh3 Rh 0.0000 0.1344 0.1978
Rh4 Rh 0.2500 0.2500 0.4481
```

Main lines, sorted by position (10° ≤ 2θ ≤ 90°):
- 2θ 25.6, d = 3.486 Å, I = 49, hkl 2 0 0
- 2θ 32.1, d = 2.787 Å, I = 56, hkl 2 2 2
- 2θ 37.3, d = 2.413 Å, I = 100, hkl 1 1 5
- 2θ 37.7, d = 2.389 Å, I = 50, hkl 2 4 0
- 2θ 42.2, d = 2.141 Å, I = 49, hkl 1 5 3
- 2θ 43.6, d = 2.074 Å, I = 29, hkl 0 6 2
- 2θ 47.1, d = 1.931 Å, I = 69, hkl 2 4 4
- 2θ 53.1, d = 1.724 Å, I = 35, hkl 3 5 1

---

This entry pairs a crystal structure of AsRh5 with its theoretical powder X-ray diffraction pattern. Radiation: Cu Kα (λ = 1.5418 Å). Structure: a structure optimized by DFT (GGA-PBE).
Kinematic intensities with the Lorentz-polarization factor, no thermal factor.

Cell and atoms:
```
data_AsRh5
_chemical_formula_sum 'As2 Rh10'
_space_group_name_H-M_alt 'C m m m'
_space_group_IT_number 65
_space_group_name_Hall '-C 2 2'
_cell_length_a 3.9072
_cell_length_b 11.3331
_cell_length_c 3.8795
_cell_angle_alpha 90.00
_cell_angle_beta 90.00
_cell_angle_gamma 90.00
loop_
_atom_site_label
_atom_site_type_symbol
_atom_site_fract_x
_atom_site_fract_y
_atom_site_fract_z
As1 As 0.0000 0.0000 0.0000
Rh1 Rh 0.0000 0.1650 0.5000
Rh2 Rh 0.0000 0.3363 0.0000
Rh3 Rh 0.0000 0.5000 0.5000
```

Main lines, sorted by position (10° ≤ 2θ ≤ 90°):
- 2θ 40.5, d = 2.225 Å, I = 100, hkl 1 3 1
- 2θ 46.5, d = 1.954 Å, I = 17, hkl 2 0 0
- 2θ 46.8, d = 1.940 Å, I = 16, hkl 0 0 2
- 2θ 48.2, d = 1.889 Å, I = 15, hkl 0 6 0
- 2θ 82.1, d = 1.174 Å, I = 12, hkl 3 3 1
- 2θ 82.6, d = 1.168 Å, I = 12, hkl 1 3 3
- 2θ 84.6, d = 1.145 Å, I = 11, hkl 1 9 1
- 2θ 87.7, d = 1.112 Å, I = 11, hkl 2 6 2

---

Please write out number 3 again, unchanged.
This entry pairs a crystal structure of ReTcAs4 with its theoretical powder X-ray diffraction pattern. Radiation: Cu Kα (λ = 1.5418 Å). Structure: a structure optimized by DFT (GGA-PBE).
Kinematic intensities with the Lorentz-polarization factor, no thermal factor.

Cell and atoms:
```
data_ReTcAs4
_chemical_formula_sum 'Re4 Tc4 As16'
_space_group_name_H-M_alt 'I 41 m d'
_space_group_IT_number 109
_space_group_name_Hall 'I 4bw -2'
_cell_length_a 8.7396
_cell_length_b 8.7396
_cell_length_c 6.3324
_cell_angle_alpha 90.00
_cell_angle_beta 90.00
_cell_angle_gamma 90.00
loop_
_atom_site_label
_atom_site_type_symbol
_atom_site_fract_x
_atom_site_fract_y
_atom_site_fract_z
Re1 Re 0.0000 0.0000 0.0000
Tc1 Tc 0.0000 0.0000 0.4948
As1 As 0.0000 0.2812 0.4973
As2 As 0.0000 0.2826 0.9973
```

Main lines, sorted by position (10° ≤ 2θ ≤ 90°):
- 2θ 20.3, d = 4.370 Å, I = 100, hkl 2 0 0
- 2θ 31.8, d = 2.818 Å, I = 37, hkl 1 1 2
- 2θ 35.0, d = 2.564 Å, I = 51, hkl 2 0 2
- 2θ 41.3, d = 2.185 Å, I = 54, hkl 4 0 0
- 2θ 43.5, d = 2.082 Å, I = 73, hkl 3 1 2
- 2θ 53.0, d = 1.727 Å, I = 37, hkl 3 3 2
- 2θ 55.2, d = 1.663 Å, I = 19, hkl 4 2 2
- 2θ 73.9, d = 1.282 Å, I = 19, hkl 4 0 4

---

Copy entry 4 word for word.
This entry pairs a crystal structure of ReTeAs2W with its theoretical powder X-ray diffraction pattern. Radiation: Cu Kα (λ = 1.5418 Å). Structure: a structure optimized by DFT (GGA-PBE).
Kinematic intensities with the Lorentz-polarization factor, no thermal factor.

Cell and atoms:
```
data_ReTeAs2W
_chemical_formula_sum 'Re1 Te1 As2 W1'
_space_group_name_H-M_alt 'P 4/m m m'
_space_group_IT_number 123
_space_group_name_Hall '-P 4 2'
_cell_length_a 4.6568
_cell_length_b 4.6568
_cell_length_c 5.7298
_cell_angle_alpha 90.00
_cell_angle_beta 90.00
_cell_angle_gamma 90.00
loop_
_atom_site_label
_atom_site_type_symbol
_atom_site_fract_x
_atom_site_fract_y
_atom_site_fract_z
Re1 Re 0.0000 0.0000 0.0000
Te1 Te 0.0000 0.0000 0.5000
As1 As 0.0000 0.5000 0.0000
W1 W 0.5000 0.5000 0.5000
```

Main lines, sorted by position (10° ≤ 2θ ≤ 90°):
- 2θ 24.6, d = 3.614 Å, I = 89, hkl 1 0 1
- 2θ 27.1, d = 3.293 Å, I = 68, hkl 1 1 0
- 2θ 31.2, d = 2.865 Å, I = 89, hkl 0 0 2
- 2θ 31.3, d = 2.855 Å, I = 65, hkl 1 1 1
- 2θ 38.7, d = 2.328 Å, I = 100, hkl 2 0 0
- 2θ 41.8, d = 2.161 Å, I = 44, hkl 1 1 2
- 2θ 50.5, d = 1.807 Å, I = 93, hkl 2 0 2
- 2θ 65.4, d = 1.427 Å, I = 58, hkl 2 2 2